This entry pairs a crystal structure of TmMn6Sn6 with its simulated X-ray powder pattern. Radiation: Cu Kα X-rays. Structure: a cell relaxed with GGA-PBE.

The 10 most intense peaks (2θ from 15° to 90°), in order of falling intensity:
2theta  d_spacing  I (rel.)  (hkl)
32.94  2.719  100  1 1 0
38.75  2.324  87  1 1 2
35.62  2.521  46  1 0 3
43.42  2.084  43  2 0 2
72.22  1.308  36  1 1 6
69.10  1.359  29  2 2 0
38.22  2.355  27  2 0 0
40.30  2.238  24  0 0 4
45.11  2.010  24  1 1 3
62.72  1.481  21  3 0 2

Structure:
```
13
Lattice="5.4377 0.0000 0.0000 -2.7188 4.7092 0.0000 0.0000 0.0000 8.9525" Properties=species:S:1:pos:R:3 pbc="T T T"
Tm 0.0000 0.0000 0.0000
Mn -1.3594 2.3546 2.2204
Mn -1.3594 2.3546 6.7321
Mn 2.7188 0.0000 2.2204
Mn 2.7188 0.0000 6.7321
Mn 1.3594 2.3546 2.2204
Mn 1.3594 2.3546 6.7321
Sn 0.0000 0.0000 2.9767
Sn 0.0000 0.0000 5.9758
Sn 0.0000 3.1394 0.0000
Sn 0.0000 3.1394 4.4762
Sn 2.7188 1.5697 0.0000
Sn 2.7188 1.5697 4.4762
```